Record 1
The following is a theoretical powder diffractogram of Sr10P6BrO24F. It was derived from the GGA-PBE geometry in the Materials Project, using Cu Kα, 1.54184 Å.

Main lines, by angle (2θ = 10–90°):
d (Å)	two_theta	I/Imax
3.373	26.42	18.0
2.987	29.91	100.0
2.954	30.25	96.4
2.885	31.00	78.0
2.064	43.86	44.3
2.008	45.16	19.1
1.957	46.40	32.2
1.916	47.44	22.5
1.889	48.18	23.9
1.863	48.89	21.9

Structural model:
```
Sr10P6BrO24F
1.0
9.9936 0.0000 0.0000
-4.9968 8.6547 0.0000
0.0000 0.0000 7.3255
Sr P Br O F
10 6 1 24 1
direct
0.0000 0.0000 0.0000
0.0000 0.0000 0.4943
0.0677 0.3918 0.7393
0.0894 0.6612 0.2462
0.3241 0.9323 0.7393
0.3388 0.4282 0.2462
0.5718 0.9106 0.2462
0.6082 0.6759 0.7393
0.6667 0.3333 0.4893
0.6667 0.3333 0.9947
0.3024 0.0399 0.2458
0.3665 0.2998 0.7469
0.7002 0.0667 0.7469
0.7376 0.6976 0.2458
0.9333 0.6335 0.7469
0.9601 0.2624 0.2458
0.3333 0.6667 0.9065
0.0650 0.3152 0.0732
0.0678 0.3184 0.4160
0.1883 0.1835 0.7475
0.2146 0.1325 0.2492
0.2502 0.9350 0.0732
0.2506 0.9322 0.4160
0.4123 0.4097 0.5795
0.4218 0.3964 0.9247
0.4576 0.2102 0.7342
0.4808 0.1495 0.2465
0.5903 0.0026 0.5795
0.6036 0.0254 0.9247
0.6687 0.5192 0.2465
0.6816 0.7494 0.4160
0.6848 0.7498 0.0732
0.7526 0.5424 0.7342
0.7898 0.2474 0.7342
0.8165 0.0048 0.7475
0.8505 0.3313 0.2465
0.8675 0.0820 0.2492
0.9180 0.7854 0.2492
0.9746 0.5782 0.9247
0.9952 0.8117 0.7475
0.9974 0.5877 0.5795
0.3333 0.6667 0.3341
```

Record 2
The following is a theoretical powder diffractogram of Pb2BrOF. It was derived from the GGA-PBE geometry in the Materials Project, using Cu Kα, 1.54184 Å.

Main lines, by angle (2θ = 10–90°):
d (Å)	two_theta	I/Imax
3.993	22.27	20.0
3.033	29.45	100.0
2.969	30.10	19.2
2.955	30.24	22.1
2.199	41.04	14.6
2.095	43.19	20.0
1.767	51.74	12.6
1.764	51.84	10.2
1.726	53.05	14.8
1.720	53.26	27.5

Structural model:
```
Pb2BrOF
1.0
2.9552 -6.5937 0.0000
2.9552 6.5937 0.0000
0.0000 0.0000 5.9385
Pb Br O F
4 2 2 2
direct
0.0985 0.9015 0.7809
0.4015 0.5985 0.7809
0.5985 0.4015 0.2191
0.9015 0.0985 0.2191
0.2500 0.7500 0.2291
0.7500 0.2500 0.7709
0.2500 0.2500 0.0000
0.7500 0.7500 0.0000
0.2500 0.2500 0.5000
0.7500 0.7500 0.5000
```

Record 3
The following is a theoretical powder diffractogram of SbBrO2F6. It was derived from the GGA-PBE geometry in the Materials Project, using Cu Kα, 1.54184 Å.

Main lines, by angle (2θ = 10–90°):
d (Å)	two_theta	I/Imax
5.961	14.86	24.2
4.610	19.25	34.5
4.007	22.19	100.0
3.891	22.86	93.7
3.822	23.27	58.2
3.635	24.49	51.4
2.305	39.08	25.7
2.261	39.86	15.5
2.185	41.33	26.6
2.126	42.51	15.7

Structural model:
```
SbBrO2F6
1.0
7.2805 0.0000 0.0000
0.0000 5.9612 0.0000
-6.8812 0.0000 7.6439
Sb Br O F
2 2 4 12
direct
0.0000 0.0332 0.2500
0.0000 0.9668 0.7500
0.5000 0.3549 0.7500
0.5000 0.6451 0.2500
0.3591 0.4918 0.0767
0.3591 0.5082 0.5767
0.6409 0.4918 0.4233
0.6409 0.5082 0.9233
0.1506 0.2057 0.7186
0.1506 0.7943 0.2186
0.1522 0.2531 0.2148
0.1522 0.7469 0.7148
0.2809 0.0243 0.4970
0.2809 0.9757 0.9970
0.7191 0.0243 0.0030
0.7191 0.9757 0.5030
0.8478 0.2531 0.2852
0.8478 0.7469 0.7852
0.8494 0.2057 0.7814
0.8494 0.7943 0.2814
```

Record 4
The following is a theoretical powder diffractogram of Pb3BrF5. It was derived from the GGA-PBE geometry in the Materials Project, using Cu Kα, 1.54184 Å.

Main lines, by angle (2θ = 10–90°):
d (Å)	two_theta	I/Imax
5.495	16.13	53.8
4.931	17.99	63.6
4.342	20.45	69.4
4.157	21.38	95.7
3.711	23.98	100.0
3.664	24.29	51.8
2.975	30.04	79.9
2.638	33.99	68.1
2.587	34.68	52.4
1.962	46.27	49.2

Structural model:
```
Pb3BrF5
1.0
4.9550 -2.3206 0.0000
4.9550 2.3206 0.0000
-3.8695 0.0000 10.9910
Pb Br F
3 1 5
direct
0.0000 0.0000 0.0000
0.0534 0.0534 0.6581
0.7495 0.7495 0.2482
0.3847 0.3847 0.6968
0.1427 0.1427 0.8711
0.2157 0.2157 0.1636
0.5717 0.5717 0.0354
0.9005 0.9005 0.4577
0.9426 0.9426 0.1924
```